Starting from the PBE geometry in Alexandria, the XRD peak list of TbPm3Y6Tm2 was computed for Cu Kα.

```
12
Lattice="3.100 -5.365 0.000 3.100 5.365 0.000 -2.058 0.000 11.652" Properties=species:S:1:pos:R:3 pbc="T T T"
Tb 0.000 0.000 0.000
Pm 2.071 3.576 5.826
Pm 2.071 0.000 5.826
Pm 2.071 -3.576 5.826
Y 1.038 1.790 2.874
Y 0.008 0.000 8.778
Y 1.038 -1.790 2.874
Y 3.104 1.790 8.778
Y 4.134 0.000 2.874
Y 3.104 -1.790 8.778
Tm 3.100 1.789 0.000
Tm 3.100 -1.789 0.000
```

Top 10 peaks for 2θ from 15° to 90°, sorted by position:
- 2θ = 15.21°, d 5.826, rel. 11
- 2θ = 30.61°, d 2.921, rel. 33
- 2θ = 30.64°, d 2.918, rel. 100
- 2θ = 35.51°, d 2.528, rel. 67
- 2θ = 51.05°, d 1.789, rel. 24
- 2θ = 51.16°, d 1.786, rel. 23
- 2θ = 60.73°, d 1.525, rel. 42
- 2θ = 60.85°, d 1.522, rel. 14
- 2θ = 63.73°, d 1.460, rel. 12
- 2θ = 83.22°, d 1.161, rel. 11